Simulated powder diffractogram of La2Ga7Pd12 for CuKα, from a structure optimized by DFT (GGA-PBE).

Top 10 peaks for 2θ from 10° to 90°, by angle:
34.79°, I 100; 37.00°, I 12; 41.23°, I 9; 41.94°, I 16; 43.25°, I 27; 44.04°, I 27; 47.57°, I 15; 50.55°, I 9; 66.83°, I 11; 74.99°, I 10

```
data_La2Ga7Pd12
_chemical_formula_sum 'La2 Ga7 Pd12'
_cell_length_a 10.1142
_cell_length_b 10.1142
_cell_length_c 4.1124
_cell_angle_alpha 90.00
_cell_angle_beta 90.00
_cell_angle_gamma 120.00
_space_group_name_H-M_alt 'P -6'
_space_group_IT_number 174
loop_
_space_group_symop_operation_xyz
'x,y,z'
'-x+y,-x,-z'
'-y,x-y,z'
'x,y,-z'
'-x+y,-x,z'
'-y,x-y,-z'
loop_
_atom_site_label
_atom_site_type_symbol
_atom_site_fract_x
_atom_site_fract_y
_atom_site_fract_z
_atom_site_occupancy
La1 La 0.0000 0.0000 0.0000 1
La2 La 0.3333 0.6667 0.5000 1
Ga1 Ga 0.0443 0.4547 0.0000 1
Ga2 Ga 0.2678 0.2430 0.5000 1
Ga3 Ga 0.6667 0.3333 0.0000 1
Pd1 Pd 0.0315 0.2723 0.5000 1
Pd2 Pd 0.1321 0.7377 0.0000 1
Pd3 Pd 0.3838 0.1904 0.0000 1
Pd4 Pd 0.5568 0.4261 0.5000 1
```